This entry pairs a crystal structure of LiCr2Ni9 with its simulated X-ray powder pattern. Radiation: a wavelength of 1.5418 Å. Structure: a structure optimized by DFT (PBE).
Peak positions follow from Bragg's law for the DFT cell and can differ from measured ones.

Cell and atoms:
```
data_LiCr2Ni9
_chemical_formula_sum 'Li1 Cr2 Ni9'
_cell_length_a 3.537
_cell_length_b 3.537
_cell_length_c 10.576
_cell_angle_alpha 90.00
_cell_angle_beta 90.00
_cell_angle_gamma 90.00
_space_group_name_H-M_alt 'P 4/m m m'
_space_group_IT_number 123
_space_group_name_Hall '-P 4 2'
loop_
_atom_site_label
_atom_site_fract_x
_atom_site_fract_y
_atom_site_fract_z
_atom_site_occupancy
Li1 0.000 0.000 0.000 1
Cr1 0.000 0.000 0.328 1
Ni1 0.000 0.500 0.168 1
Ni2 0.000 0.500 0.500 1
Ni3 0.500 0.500 0.000 1
Ni4 0.500 0.500 0.334 1
```

The 10 most intense peaks (2θ from 5° to 70°), sorted by position:
hkl	2θ/deg	I_rel
0 0 1	8.4	7
0 0 2	16.8	2
0 0 3	25.2	5
1 0 1	26.6	2
1 0 2	30.4	2
1 0 3	35.9	4
1 1 3	44.4	100
2 0 0	51.7	31
0 0 6	51.9	15
2 0 3	58.4	1